Entry 1:
Calculated powder diffraction line list of ReCl4 for Cu Kα (weighted mean of Kα1 and Kα2), from a PBE-relaxed structure.
Kinematic intensities with the Lorentz-polarization factor, no thermal factor.

Peak list (10 most intense, 15° ≤ 2θ ≤ 90°, in order of falling intensity)
2θ = 19.7°, I = 100, hkl 1 1 -1
2θ = 18.6°, I = 99, hkl 1 0 -2
2θ = 39.0°, I = 46, hkl 1 1 5
2θ = 27.8°, I = 38, hkl 2 0 0
2θ = 29.4°, I = 38, hkl 1 0 -4
2θ = 44.5°, I = 37, hkl 3 1 -1
2θ = 40.9°, I = 37, hkl 2 2 2
2θ = 31.7°, I = 35, hkl 2 1 1
2θ = 45.8°, I = 32, hkl 1 3 -3
2θ = 26.9°, I = 30, hkl 1 1 -3

Atomic structure:
```
data_ReCl4
_symmetry_space_group_name_H-M 'P 1 2/c 1'
_symmetry_Int_Tables_number 13
_cell_length_a 6.4260
_cell_length_b 6.9854
_cell_length_c 13.5062
_cell_angle_alpha 90.00
_cell_angle_beta 92.67
_cell_angle_gamma 90.00
loop_
_symmetry_equiv_pos_as_xyz
'x,y,z'
'-x,-y,-z'
'-x,y,-z+1/2'
'x,-y,z+1/2'
loop_
_atom_site_label
_atom_site_type_symbol
_atom_site_fract_x
_atom_site_fract_y
_atom_site_fract_z
_atom_site_occupancy
Re1 Re 0.1829 0.2180 0.3069 1
Cl1 Cl 0.0000 0.4932 0.7500 1
Cl2 Cl 0.1341 0.0887 0.1396 1
Cl3 Cl 0.2458 0.3610 0.4572 1
Cl4 Cl 0.3538 0.0549 0.8557 1
Cl5 Cl 0.5000 0.3734 0.2500 1
```


Entry 2:
Calculated powder diffraction line list of Re3Cl for Cu Kα (weighted mean of Kα1 and Kα2), from a PBE-relaxed structure.
Kinematic intensities with the Lorentz-polarization factor, no thermal factor.

Peak list (10 most intense, 15° ≤ 2θ ≤ 90°, in order of falling intensity)
2θ = 42.2°, I = 100, hkl 1 0 2
2θ = 36.6°, I = 29, hkl 1 0 0
2θ = 41.2°, I = 23, hkl 0 0 4
2θ = 80.8°, I = 20, hkl 1 1 4
2θ = 75.8°, I = 18, hkl 1 0 6
2θ = 65.9°, I = 18, hkl 1 1 0
2θ = 56.3°, I = 17, hkl 1 0 4
2θ = 81.4°, I = 15, hkl 2 0 2
2θ = 38.1°, I = 10, hkl 1 0 1
2θ = 20.3°, I = 9, hkl 0 0 2

Atomic structure:
```
data_Re3Cl
_symmetry_space_group_name_H-M 'P -6 m 2'
_symmetry_Int_Tables_number 187
_symmetry_space_group_name_Hall 'P -6 2'
_cell_length_a 2.8338
_cell_length_b 2.8338
_cell_length_c 8.7672
_cell_angle_alpha 90.00
_cell_angle_beta 90.00
_cell_angle_gamma 120.00
loop_
_atom_site_label
_atom_site_type_symbol
_atom_site_fract_x
_atom_site_fract_y
_atom_site_fract_z
_atom_site_occupancy
Re1 Re 0.0000 0.0000 0.0000 1
Re2 Re 0.6667 0.3333 0.2453 1
Cl1 Cl 0.0000 0.0000 0.5000 1
```


Entry 3:
Calculated powder diffraction line list of Re2Cl13 for Cu Kα (weighted mean of Kα1 and Kα2), from a PBE-relaxed structure.
Kinematic intensities with the Lorentz-polarization factor, no thermal factor.

Peak list (10 most intense, 15° ≤ 2θ ≤ 90°, in order of falling intensity)
2θ = 15.2°, I = 100, hkl 1 0 -1
2θ = 18.2°, I = 48, hkl 0 1 1
2θ = 29.4°, I = 41, hkl 1 2 -2
2θ = 18.8°, I = 35, hkl 1 -1 1
2θ = 19.6°, I = 33, hkl 0 1 -2
2θ = 20.6°, I = 33, hkl 0 2 -1
2θ = 31.3°, I = 29, hkl -2 2 1
2θ = 21.5°, I = 27, hkl 1 -2 0
2θ = 21.5°, I = 26, hkl 1 0 1
2θ = 36.3°, I = 24, hkl 1 -1 3

Atomic structure:
```
data_Re2Cl13
_symmetry_space_group_name_H-M 'P -1'
_symmetry_Int_Tables_number 2
_cell_length_a 6.4963
_cell_length_b 9.0619
_cell_length_c 9.3816
_cell_angle_alpha 107.44
_cell_angle_beta 103.17
_cell_angle_gamma 107.59
loop_
_symmetry_equiv_pos_as_xyz
'x,y,z'
'-x,-y,-z'
loop_
_atom_site_label
_atom_site_type_symbol
_atom_site_fract_x
_atom_site_fract_y
_atom_site_fract_z
_atom_site_occupancy
Re1 Re 0.2146 0.3627 0.2179 1
Cl1 Cl 0.0154 0.1576 0.2918 1
Cl2 Cl 0.0197 0.5208 0.3085 1
Cl3 Cl 0.0426 0.7613 0.0315 1
Cl4 Cl 0.3745 0.0338 0.4546 1
Cl5 Cl 0.4318 0.2140 0.1526 1
Cl6 Cl 0.4399 0.5791 0.1725 1
Cl7 Cl 0.5000 0.5000 0.5000 1
```


Entry 4:
Calculated powder diffraction line list of Re5Cl4 for Cu Kα (weighted mean of Kα1 and Kα2), from a PBE-relaxed structure.
Kinematic intensities with the Lorentz-polarization factor, no thermal factor.

Peak list (10 most intense, 15° ≤ 2θ ≤ 90°, in order of falling intensity)
2θ = 41.3°, I = 100, hkl 3 0 1
2θ = 37.4°, I = 63, hkl 3 3 0
2θ = 70.1°, I = 34, hkl 6 3 1
2θ = 48.7°, I = 27, hkl 4 1 1
2θ = 53.9°, I = 20, hkl 6 0 0
2θ = 37.1°, I = 17, hkl 2 1 1
2θ = 77.8°, I = 15, hkl 3 3 2
2θ = 83.5°, I = 13, hkl 7 4 1
2θ = 39.5°, I = 13, hkl 4 2 0
2θ = 89.7°, I = 10, hkl 6 0 2

Atomic structure:
```
data_Re5Cl4
_symmetry_space_group_name_H-M 'I 4/m m m'
_symmetry_Int_Tables_number 139
_symmetry_space_group_name_Hall '-I 4 2'
_cell_length_a 10.2059
_cell_length_b 10.2059
_cell_length_c 2.8547
_cell_angle_alpha 90.00
_cell_angle_beta 90.00
_cell_angle_gamma 90.00
loop_
_atom_site_label
_atom_site_type_symbol
_atom_site_fract_x
_atom_site_fract_y
_atom_site_fract_z
_atom_site_occupancy
Re1 Re 0.0000 0.0000 0.0000 1
Re2 Re 0.1553 0.1553 0.5000 1
Cl1 Cl 0.0000 0.3030 0.0000 1
```


Entry 5:
Calculated powder diffraction line list of Re4Cl for Cu Kα (weighted mean of Kα1 and Kα2), from a PBE-relaxed structure.
Kinematic intensities with the Lorentz-polarization factor, no thermal factor.

Peak list (10 most intense, 15° ≤ 2θ ≤ 90°, in order of falling intensity)
2θ = 39.3°, I = 100, hkl 2 1 1
2θ = 45.5°, I = 29, hkl 1 3 0
2θ = 79.9°, I = 21, hkl 4 3 1
2θ = 26.7°, I = 21, hkl 1 0 1
2θ = 66.8°, I = 19, hkl 1 3 2
2θ = 46.1°, I = 18, hkl 0 0 2
2θ = 49.2°, I = 18, hkl 3 0 1
2θ = 40.5°, I = 15, hkl 2 2 0
2θ = 19.9°, I = 15, hkl 1 1 0
2θ = 80.7°, I = 13, hkl 2 1 3

Atomic structure:
```
data_Re4Cl
_symmetry_space_group_name_H-M 'I 4/m'
_symmetry_Int_Tables_number 87
_symmetry_space_group_name_Hall '-I 4'
_cell_length_a 6.3009
_cell_length_b 6.3009
_cell_length_c 3.9407
_cell_angle_alpha 90.00
_cell_angle_beta 90.00
_cell_angle_gamma 90.00
loop_
_atom_site_label
_atom_site_type_symbol
_atom_site_fract_x
_atom_site_fract_y
_atom_site_fract_z
_atom_site_occupancy
Re1 Re 0.0594 0.2979 0.0000 1
Cl1 Cl 0.0000 0.0000 0.5000 1
```


Entry 6:
Calculated powder diffraction line list of Re3Cl for Cu Kα (weighted mean of Kα1 and Kα2), from a PBE-relaxed structure.
Kinematic intensities with the Lorentz-polarization factor, no thermal factor.

Peak list (10 most intense, 15° ≤ 2θ ≤ 90°, in order of falling intensity)
2θ = 39.9°, I = 100, hkl 1 0 2
2θ = 44.7°, I = 36, hkl 1 1 0
2θ = 79.2°, I = 28, hkl 2 1 2
2θ = 69.1°, I = 20, hkl 1 1 4
2θ = 49.7°, I = 13, hkl 0 0 4
2θ = 65.1°, I = 12, hkl 2 0 0
2θ = 86.2°, I = 11, hkl 2 0 4
2θ = 86.6°, I = 11, hkl 1 0 6
2θ = 33.6°, I = 9, hkl 1 0 1
2θ = 31.2°, I = 6, hkl 1 0 0

Atomic structure:
```
data_Re3Cl
_symmetry_space_group_name_H-M 'P 4/m m m'
_symmetry_Int_Tables_number 123
_symmetry_space_group_name_Hall '-P 4 2'
_cell_length_a 2.8645
_cell_length_b 2.8645
_cell_length_c 7.3323
_cell_angle_alpha 90.00
_cell_angle_beta 90.00
_cell_angle_gamma 90.00
loop_
_atom_site_label
_atom_site_type_symbol
_atom_site_fract_x
_atom_site_fract_y
_atom_site_fract_z
_atom_site_occupancy
Re1 Re 0.0000 0.0000 0.0000 1
Re2 Re 0.5000 0.5000 0.2464 1
Cl1 Cl 0.0000 0.0000 0.5000 1
```


Entry 7:
Calculated powder diffraction line list of ReS2Cl8 for Cu Kα (weighted mean of Kα1 and Kα2), from a PBE-relaxed structure.
Kinematic intensities with the Lorentz-polarization factor, no thermal factor.

Peak list (10 most intense, 15° ≤ 2θ ≤ 90°, in order of falling intensity)
2θ = 17.0°, I = 100, hkl 1 1 0
2θ = 19.0°, I = 83, hkl 0 1 -1
2θ = 17.6°, I = 81, hkl 1 0 1
2θ = 17.4°, I = 80, hkl 1 1 1
2θ = 26.0°, I = 70, hkl 1 2 0
2θ = 33.5°, I = 52, hkl 1 1 3
2θ = 42.8°, I = 44, hkl 2 3 0
2θ = 35.8°, I = 41, hkl 2 -1 0
2θ = 23.1°, I = 36, hkl 0 1 2
2θ = 22.0°, I = 35, hkl 1 -1 0

Atomic structure:
```
data_ReS2Cl8
_symmetry_space_group_name_H-M 'P -1'
_symmetry_Int_Tables_number 2
_cell_length_a 6.2472
_cell_length_b 7.5756
_cell_length_c 8.2475
_cell_angle_alpha 73.03
_cell_angle_beta 78.26
_cell_angle_gamma 72.62
loop_
_symmetry_equiv_pos_as_xyz
'x,y,z'
'-x,-y,-z'
loop_
_atom_site_label
_atom_site_type_symbol
_atom_site_fract_x
_atom_site_fract_y
_atom_site_fract_z
_atom_site_occupancy
Re1 Re 0.0000 0.0000 0.0000 1
S1 S 0.3354 0.7814 0.6427 1
Cl1 Cl 0.0996 0.9816 0.2664 1
Cl2 Cl 0.1442 0.2621 0.8784 1
Cl3 Cl 0.3395 0.8038 0.9090 1
Cl4 Cl 0.3481 0.3901 0.3697 1
```


Entry 8:
Calculated powder diffraction line list of TlRe3S4Cl2 for Cu Kα (weighted mean of Kα1 and Kα2), from a PBE-relaxed structure.
Kinematic intensities with the Lorentz-polarization factor, no thermal factor.

Peak list (10 most intense, 15° ≤ 2θ ≤ 90°, in order of falling intensity)
2θ = 17.2°, I = 100, hkl 0 1 -3
2θ = 15.9°, I = 88, hkl 1 -1 0
2θ = 18.0°, I = 57, hkl 1 1 0
2θ = 38.3°, I = 43, hkl 2 -3 1
2θ = 43.3°, I = 42, hkl 1 4 -1
2θ = 38.2°, I = 39, hkl -2 1 5
2θ = 44.7°, I = 38, hkl -1 4 3
2θ = 19.2°, I = 34, hkl 0 1 3
2θ = 29.1°, I = 33, hkl 2 -1 1
2θ = 46.3°, I = 32, hkl -1 3 6

Atomic structure:
```
data_TlRe3S4Cl2
_symmetry_space_group_name_H-M 'P -1'
_symmetry_Int_Tables_number 2
_cell_length_a 6.4245
_cell_length_b 9.2929
_cell_length_c 17.4239
_cell_angle_alpha 96.69
_cell_angle_beta 93.60
_cell_angle_gamma 96.87
loop_
_symmetry_equiv_pos_as_xyz
'x,y,z'
'-x,-y,-z'
loop_
_atom_site_label
_atom_site_type_symbol
_atom_site_fract_x
_atom_site_fract_y
_atom_site_fract_z
_atom_site_occupancy
Tl1 Tl 0.0272 0.4715 0.3392 1
Tl2 Tl 0.4116 0.0106 0.1598 1
Re1 Re 0.0337 0.3353 0.9320 1
Re2 Re 0.0732 0.4063 0.0847 1
Re3 Re 0.2220 0.9746 0.4621 1
Re4 Re 0.2779 0.5714 0.9949 1
Re5 Re 0.4251 0.9120 0.5866 1
Re6 Re 0.4661 0.1833 0.5509 1
S1 S 0.1490 0.0675 0.5978 1
S2 S 0.1613 0.8035 0.9794 1
S3 S 0.2043 0.7292 0.4971 1
S4 S 0.2214 0.5020 0.8560 1
S5 S 0.2805 0.2223 0.4317 1
S6 S 0.2944 0.6316 0.1341 1
S7 S 0.3406 0.8888 0.3386 1
S8 S 0.3499 0.3155 0.0117 1
Cl1 Cl 0.0752 0.1215 0.8438 1
Cl2 Cl 0.1711 0.2850 0.1952 1
Cl3 Cl 0.3260 0.7985 0.6999 1
Cl4 Cl 0.4311 0.4201 0.6181 1
```


Entry 9:
Calculated powder diffraction line list of Sc2ReCl2 for Cu Kα (weighted mean of Kα1 and Kα2), from a PBE-relaxed structure.
Kinematic intensities with the Lorentz-polarization factor, no thermal factor.

Peak list (10 most intense, 15° ≤ 2θ ≤ 90°, in order of falling intensity)
2θ = 30.2°, I = 100, hkl 1 1 1
2θ = 23.2°, I = 98, hkl 1 0 1
2θ = 26.4°, I = 65, hkl 0 0 2
2θ = 47.4°, I = 50, hkl 2 0 2
2θ = 38.6°, I = 46, hkl 2 0 0
2θ = 27.0°, I = 40, hkl 1 1 0
2θ = 45.5°, I = 33, hkl 2 1 1
2θ = 38.1°, I = 33, hkl 1 1 2
2θ = 49.0°, I = 25, hkl 1 1 3
2θ = 64.7°, I = 21, hkl 3 1 1

Atomic structure:
```
data_Sc2ReCl2
_symmetry_space_group_name_H-M 'P 4/m m m'
_symmetry_Int_Tables_number 123
_symmetry_space_group_name_Hall '-P 4 2'
_cell_length_a 4.6639
_cell_length_b 4.6639
_cell_length_c 6.7522
_cell_angle_alpha 90.00
_cell_angle_beta 90.00
_cell_angle_gamma 90.00
loop_
_atom_site_label
_atom_site_type_symbol
_atom_site_fract_x
_atom_site_fract_y
_atom_site_fract_z
_atom_site_occupancy
Sc1 Sc 0.0000 0.0000 0.0000 1
Sc2 Sc 0.0000 0.0000 0.5000 1
Re1 Re 0.5000 0.5000 0.0000 1
Cl1 Cl 0.0000 0.5000 0.5000 1
```


Entry 10:
Calculated powder diffraction line list of Re3Se2Cl5 for Cu Kα (weighted mean of Kα1 and Kα2), from a PBE-relaxed structure.
Kinematic intensities with the Lorentz-polarization factor, no thermal factor.

Peak list (10 most intense, 15° ≤ 2θ ≤ 90°, in order of falling intensity)
2θ = 44.2°, I = 100, hkl 4 -1 3
2θ = 44.6°, I = 77, hkl 1 0 -6
2θ = 43.8°, I = 74, hkl -4 1 2
2θ = 38.7°, I = 73, hkl -3 1 3
2θ = 32.9°, I = 61, hkl 3 -1 2
2θ = 46.6°, I = 61, hkl 4 3 0
2θ = 40.4°, I = 58, hkl 3 -1 4
2θ = 42.4°, I = 57, hkl 1 4 -2
2θ = 45.9°, I = 53, hkl 4 0 -3
2θ = 50.0°, I = 51, hkl 0 0 7

Atomic structure:
```
data_Re3Se2Cl5
_symmetry_space_group_name_H-M 'P 1'
_symmetry_Int_Tables_number 1
_cell_length_a 9.4652
_cell_length_b 9.5302
_cell_length_c 12.8719
_cell_angle_alpha 85.59
_cell_angle_beta 84.11
_cell_angle_gamma 85.59
loop_
_symmetry_equiv_pos_as_xyz
'x,y,z'
loop_
_atom_site_label
_atom_site_type_symbol
_atom_site_fract_x
_atom_site_fract_y
_atom_site_fract_z
_atom_site_occupancy
Re1 Re 0.0000 0.0000 0.0000 1
Re2 Re 0.0235 0.0178 0.7085 1
Re3 Re 0.1120 0.8341 0.8554 1
Re4 Re 0.1807 0.0972 0.8482 1
Re5 Re 0.3234 0.5391 0.4205 1
Re6 Re 0.4322 0.4198 0.2488 1
Re7 Re 0.4876 0.6789 0.2778 1
Re8 Re 0.5237 0.3318 0.4326 1
Re9 Re 0.5802 0.5904 0.4615 1
Re10 Re 0.6889 0.4708 0.2888 1
Re11 Re 0.8421 0.9202 0.8594 1
Re12 Re 0.9110 0.1848 0.8523 1
Se1 Se 0.0863 0.2736 0.7081 1
Se2 Se 0.2433 0.6238 0.2417 1
Se3 Se 0.2575 0.9175 0.9923 1
Se4 Se 0.4214 0.4557 0.5943 1
Se5 Se 0.5882 0.5597 0.1174 1
Se6 Se 0.6317 0.2246 0.2660 1
Se7 Se 0.7674 0.3901 0.4683 1
Se8 Se 0.9540 0.7636 0.7219 1
Cl1 Cl 0.0402 0.0280 0.5263 1
Cl2 Cl 0.0634 0.2471 0.9838 1
Cl3 Cl 0.0890 0.5805 0.5050 1
Cl4 Cl 0.2394 0.6138 0.8571 1
Cl5 Cl 0.2717 0.2977 0.3920 1
Cl6 Cl 0.2761 0.9353 0.7137 1
Cl7 Cl 0.3382 0.2984 0.1202 1
Cl8 Cl 0.3771 0.7806 0.4463 1
Cl9 Cl 0.3951 0.2054 0.8390 1
Cl10 Cl 0.4748 0.9065 0.1916 1
Cl11 Cl 0.5329 0.1069 0.5287 1
Cl12 Cl 0.6273 0.8152 0.8721 1
Cl13 Cl 0.6682 0.7145 0.5895 1
Cl14 Cl 0.7351 0.7214 0.3217 1
Cl15 Cl 0.7392 0.0856 0.9975 1
Cl16 Cl 0.7690 0.0983 0.7222 1
Cl17 Cl 0.7792 0.4007 0.8554 1
Cl18 Cl 0.9234 0.4402 0.2016 1
Cl19 Cl 0.9344 0.7542 0.9979 1
Cl20 Cl 0.9756 0.9913 0.1807 1
```


Entry 11:
Calculated powder diffraction line list of ReSe4Cl6 for Cu Kα (weighted mean of Kα1 and Kα2), from a PBE-relaxed structure.
Kinematic intensities with the Lorentz-polarization factor, no thermal factor.

Peak list (10 most intense, 15° ≤ 2θ ≤ 90°, in order of falling intensity)
2θ = 16.2°, I = 100, hkl 0 0 2
2θ = 15.9°, I = 52, hkl 0 2 0
2θ = 16.3°, I = 44, hkl 2 0 0
2θ = 42.1°, I = 41, hkl 1 5 1
2θ = 22.7°, I = 38, hkl 0 2 2
2θ = 23.0°, I = 32, hkl 2 0 2
2θ = 35.8°, I = 30, hkl 3 1 3
2θ = 26.6°, I = 25, hkl 1 3 1
2θ = 28.1°, I = 24, hkl 2 2 2
2θ = 43.1°, I = 24, hkl 5 1 1

Atomic structure:
```
data_ReSe4Cl6
_symmetry_space_group_name_H-M 'P c c n'
_symmetry_Int_Tables_number 56
_cell_length_a 10.8888
_cell_length_b 11.1716
_cell_length_c 10.9747
_cell_angle_alpha 90.00
_cell_angle_beta 90.00
_cell_angle_gamma 90.00
loop_
_symmetry_equiv_pos_as_xyz
'x,y,z'
'-x,-y,-z'
'-x+1/2,-y+1/2,z'
'x+1/2,y+1/2,-z'
'x+1/2,-y,-z+1/2'
'-x+1/2,y,z+1/2'
'-x,y+1/2,-z+1/2'
'x,-y+1/2,z+1/2'
loop_
_atom_site_label
_atom_site_type_symbol
_atom_site_fract_x
_atom_site_fract_y
_atom_site_fract_z
_atom_site_occupancy
Re1 Re 0.0000 0.0000 0.0000 1
Se1 Se 0.0863 0.1009 0.4278 1
Se2 Se 0.1109 0.5998 0.9854 1
Cl1 Cl 0.0775 0.6636 0.6154 1
Cl2 Cl 0.1239 0.1308 0.1119 1
Cl3 Cl 0.1600 0.5251 0.3546 1
```